Entry 1:
Computed XRD peak list of Rb2NdAuCl6 for Cu Kα, 1.54184 Å, from a structure optimized by DFT (GGA-PBE).

Structural model:
a b c (Å): 10.962 10.962 10.962
angles (deg): 90.00 90.00 90.00
Space group Fm-3m (No. 225)
Symmetry-distinct sites (fractional):
1 Rb 0.250 0.250 0.250 x8
2 Nd 0.000 0.000 0.000 x4
3 Au 0.000 0.000 0.500 x4
4 Cl 0.000 0.000 0.249 x24

Main lines, sorted by position (10 to 90 degrees two-theta):
2theta	I_rel	index
16.2	34	2 0 0
22.9	100	2 2 0
32.7	57	4 0 0
40.3	48	4 2 2
46.9	40	4 4 0
63.5	26	6 4 2


Entry 2:
Computed XRD peak list of AuClO2 for Cu Kα, 1.54184 Å, from a structure optimized by DFT (GGA-PBE).

Structural model:
a b c (Å): 5.183 20.525 3.448
angles (deg): 90.00 97.63 90.00
Space group C2/c (No. 15)
Symmetry-distinct sites (fractional):
1 Au 0.250 0.250 0.000 x4
2 Cl 0.000 0.159 0.750 x4
3 O 0.120 0.466 0.774 x8

Main lines, sorted by position (10 to 90 degrees two-theta):
2theta	I_rel	index
17.3	100	0 4 0
29.7	79	1 1 -1
32.2	36	1 3 -1
35.9	41	1 3 1
39.2	33	2 4 0
44.1	41	0 10 0


Entry 3:
Computed XRD peak list of AuClO2 for Cu Kα, 1.54184 Å, from a structure optimized by DFT (GGA-PBE).

Structural model:
a b c (Å): 7.339 11.192 4.127
angles (deg): 90.00 90.00 90.00
Space group C222_1 (No. 20)
Symmetry-distinct sites (fractional):
1 Au 0.232 0.000 0.000 x4
2 Cl 0.000 0.125 0.250 x4
3 O 0.088 0.400 0.786 x8

Main lines, sorted by position (10 to 90 degrees two-theta):
2theta	I_rel	index
15.8	92	0 2 0
26.0	100	1 1 1
29.1	36	2 2 0
34.6	51	1 3 1
40.5	24	2 4 0
43.8	26	3 1 1


Entry 4:
Computed XRD peak list of AuClO2 for Cu Kα, 1.54184 Å, from a structure optimized by DFT (GGA-PBE).

Structural model:
a b c (Å): 4.459 3.432 11.985
angles (deg): 90.00 100.19 90.00
Space group P2_1/m (No. 11)
Symmetry-distinct sites (fractional):
1 Au 0.134 0.250 0.073 x2
2 Cl 0.370 0.750 0.202 x2
3 O 0.137 0.250 0.450 x2
4 O 0.144 0.750 0.566 x2

Main lines, sorted by position (10 to 90 degrees two-theta):
2theta	I_rel	index
15.0	54	0 0 2
20.3	100	1 0 -1
23.0	100	1 0 -2
34.7	66	0 1 3
34.8	50	1 1 1
38.1	44	1 1 2


Entry 5:
Computed XRD peak list of AuSeClO3 for Cu Kα, 1.54184 Å, from a structure optimized by DFT (GGA-PBE).

Structural model:
a b c (Å): 4.494 9.991 10.903
angles (deg): 82.06 88.32 88.44
Space group P-1 (No. 2)
Symmetry-distinct sites (fractional):
1 Au 0.000 0.000 0.000 x1
2 Au 0.000 0.000 0.500 x1
3 Au 0.005 0.579 0.186 x2
4 Se 0.208 0.712 0.904 x2
5 Se 0.280 0.136 0.730 x2
6 Cl 0.279 0.191 0.444 x2
7 Cl 0.338 0.496 0.662 x2
8 O 0.033 0.762 0.245 x2
9 O 0.070 0.008 0.681 x2
10 O 0.071 0.396 0.129 x2
11 O 0.081 0.173 0.069 x2
12 O 0.321 0.646 0.052 x2
13 O 0.345 0.049 0.877 x2

Main lines, sorted by position (10 to 90 degrees two-theta):
2theta	I_rel	index
12.9	38	0 1 -1
17.6	35	0 1 2
19.8	100	1 0 0
26.1	40	1 1 2
27.1	48	1 -2 0
29.7	30	0 3 2


Entry 6:
Computed XRD peak list of ZnAu2Cl8O2 for Cu Kα, 1.54184 Å, from a structure optimized by DFT (GGA-PBE).

Structural model:
a b c (Å): 7.777 12.561 15.561
angles (deg): 90.00 104.36 90.00
Space group P2_1/c (No. 14)
Symmetry-distinct sites (fractional):
1 Zn 0.196 0.241 0.297 x4
2 Au 0.223 0.025 0.447 x4
3 Au 0.493 0.560 0.635 x4
4 Cl 0.166 0.208 0.444 x4
5 Cl 0.189 0.558 0.584 x4
6 Cl 0.197 0.063 0.816 x4
7 Cl 0.221 0.033 0.297 x4
8 Cl 0.235 0.021 0.597 x4
9 Cl 0.270 0.656 0.947 x4
10 Cl 0.491 0.739 0.679 x4
11 Cl 0.498 0.617 0.400 x4
12 O 0.068 0.727 0.266 x4
13 O 0.115 0.225 0.164 x4

Main lines, sorted by position (10 to 90 degrees two-theta):
2theta	I_rel	index
13.7	79	0 1 2
16.0	100	1 1 1
18.4	72	0 2 2
19.0	74	0 1 3
19.9	81	1 1 -3
24.0	73	2 1 -1


What did the third record say?
Computed XRD peak list of AuClO2 for Cu Kα, 1.54184 Å, from a structure optimized by DFT (GGA-PBE).

Structural model:
a b c (Å): 7.339 11.192 4.127
angles (deg): 90.00 90.00 90.00
Space group C222_1 (No. 20)
Symmetry-distinct sites (fractional):
1 Au 0.232 0.000 0.000 x4
2 Cl 0.000 0.125 0.250 x4
3 O 0.088 0.400 0.786 x8

Main lines, sorted by position (10 to 90 degrees two-theta):
2theta	I_rel	index
15.8	92	0 2 0
26.0	100	1 1 1
29.1	36	2 2 0
34.6	51	1 3 1
40.5	24	2 4 0
43.8	26	3 1 1